1.
Computed powder X-ray diffraction pattern of Mo3O8 for Cu Ka, from a DFT-relaxed cell (GGA+U, Alexandria).

Peak list (6 most intense, 5 to 70 degrees two-theta, in order of falling intensity)
| (hkl) | two_theta | intensity |
| --- | --- | --- |
| 0 0 2 | 17.84 | 100 |
| 1 1 -1 | 17.43 | 38 |
| 2 2 2 | 41.44 | 32 |
| 2 2 0 | 33.80 | 29 |
| 4 0 -2 | 33.37 | 15 |
| 4 0 -4 | 40.77 | 15 |

Crystal structure
Lattice parameters (Å, degrees): 10.8920 6.2133 10.6314 90.00 110.73 90.00
Space group C2/m (No. 12)
Symmetry-distinct sites (fractional):
Mo 0.0026 0.2379 0.2324 x8
Mo 0.2453 0.0000 0.7217 x4
O 0.0910 0.0000 0.3513 x4
O 0.0917 0.5000 0.8378 x4
O 0.1185 0.0000 0.8644 x4
O 0.1214 0.2881 0.1450 x8
O 0.1326 0.5000 0.3656 x4
O 0.1339 0.2197 0.6581 x8

2.
Computed powder X-ray diffraction pattern of Mo4O11 for Cu Ka, from a DFT-relaxed cell (GGA+U, Alexandria).

Peak list (6 most intense, 5 to 70 degrees two-theta, in order of falling intensity)
| (hkl) | two_theta | intensity |
| --- | --- | --- |
| 3 1 1 | 22.95 | 100 |
| 2 1 1 | 21.53 | 97 |
| 6 0 1 | 24.82 | 74 |
| 5 0 1 | 21.82 | 66 |
| 8 1 0 | 32.66 | 37 |
| 0 2 0 | 31.84 | 28 |

Crystal structure
Lattice parameters (Å, degrees): 25.1272 5.6210 6.9515 90.00 90.00 90.00
Space group Pnma (No. 62)
Symmetry-distinct sites (fractional):
Mo 0.0296 0.2500 0.1539 x4
Mo 0.0862 0.7500 0.4792 x4
Mo 0.1480 0.2500 0.8001 x4
Mo 0.2044 0.7500 0.1309 x4
O 0.0000 0.0000 0.0000 x4
O 0.0338 0.7500 0.6570 x4
O 0.0650 0.5058 0.3283 x8
O 0.0955 0.2500 0.9740 x4
O 0.1288 0.0033 0.6528 x8
O 0.1633 0.7500 0.3417 x4
O 0.1897 0.0070 0.9914 x8
O 0.2254 0.2500 0.6860 x4

3.
Computed powder X-ray diffraction pattern of Mo4O11 for Cu Ka, from a DFT-relaxed cell (GGA+U, Alexandria).

Peak list (6 most intense, 5 to 70 degrees two-theta, in order of falling intensity)
| (hkl) | two_theta | intensity |
| --- | --- | --- |
| 1 1 2 | 21.86 | 100 |
| 1 0 -6 | 24.11 | 51 |
| 1 1 4 | 25.34 | 26 |
| 0 1 8 | 32.63 | 21 |
| 2 1 -2 | 30.85 | 17 |
| 2 2 6 | 47.84 | 17 |

Crystal structure
Lattice parameters (Å, degrees): 6.9170 5.6134 25.2163 90.00 93.68 90.00
Space group P2_1/c (No. 14)
Symmetry-distinct sites (fractional):
Mo 0.0001 0.2457 0.1639 x4
Mo 0.3179 0.2359 0.0452 x4
Mo 0.3355 0.2465 0.3985 x4
Mo 0.3408 0.7480 0.2205 x4
O 0.1185 0.2451 0.0871 x4
O 0.1439 0.5110 0.6832 x4
O 0.1649 0.0224 0.6861 x4
O 0.1666 0.7454 0.7841 x4
O 0.1723 0.0119 0.3785 x4
O 0.1974 0.5060 0.3800 x4
O 0.2299 0.2500 0.4760 x4
O 0.4487 0.5353 0.5579 x4
O 0.4755 0.0204 0.5609 x4
O 0.4974 0.2354 0.3459 x4
O 0.4977 0.0139 0.2441 x4

4.
Computed powder X-ray diffraction pattern of Mo3O8 for Cu Ka, from a DFT-relaxed cell (GGA+U, Alexandria).

Peak list (6 most intense, 5 to 70 degrees two-theta, in order of falling intensity)
| (hkl) | two_theta | intensity |
| --- | --- | --- |
| 0 0 2 | 17.45 | 100 |
| 2 0 1 | 34.76 | 41 |
| 1 0 1 | 18.78 | 40 |
| 2 0 3 | 43.15 | 37 |
| 2 0 5 | 56.94 | 19 |
| 2 0 2 | 38.09 | 19 |

Crystal structure
Lattice parameters (Å, degrees): 6.1621 6.1621 10.1661 90.00 90.00 120.00
Space group P6_3mc (No. 186)
Symmetry-distinct sites (fractional):
Mo 0.1666 0.3333 0.0000 x6
O 0.0000 0.0000 0.1082 x2
O 0.0391 0.5195 0.0968 x6
O 0.1469 0.2937 0.4027 x6
O 0.3333 0.6667 0.8918 x2

5.
Computed powder X-ray diffraction pattern of MoO5 for Cu Ka, from a DFT-relaxed cell (GGA+U, Alexandria).

Peak list (6 most intense, 5 to 70 degrees two-theta, in order of falling intensity)
| (hkl) | two_theta | intensity |
| --- | --- | --- |
| 0 1 0 | 14.58 | 100 |
| 0 0 2 | 23.11 | 71 |
| 1 0 0 | 22.42 | 66 |
| 0 2 0 | 29.39 | 30 |
| 1 0 2 | 32.42 | 25 |
| 0 1 2 | 27.43 | 22 |

Crystal structure
Lattice parameters (Å, degrees): 3.9655 6.0771 7.6971 90.00 90.01 90.00
Space group Pm (No. 6)
Symmetry-distinct sites (fractional):
Mo 0.0000 0.0000 0.0000 x1
Mo 0.1425 0.0000 0.5003 x1
O 0.0160 0.3205 0.9715 x2
O 0.0631 0.0000 0.7316 x1
O 0.0733 0.3207 0.5044 x2
O 0.0753 0.0000 0.2324 x1
O 0.1921 0.5000 0.0430 x1
O 0.2251 0.5000 0.4189 x1
O 0.5526 0.0000 0.9804 x1
O 0.5842 0.0000 0.4749 x1

6.
Computed powder X-ray diffraction pattern of Mo3O10 for Cu Ka, from a DFT-relaxed cell (GGA+U, Alexandria).

Peak list (6 most intense, 5 to 70 degrees two-theta, in order of falling intensity)
| (hkl) | two_theta | intensity |
| --- | --- | --- |
| 2 0 2 | 27.68 | 100 |
| 1 1 1 | 17.54 | 88 |
| 0 2 0 | 21.82 | 83 |
| 0 0 4 | 26.56 | 52 |
| 0 0 2 | 13.19 | 44 |
| 2 2 2 | 35.52 | 30 |

Crystal structure
Lattice parameters (Å, degrees): 7.3486 8.1468 13.4231 90.00 90.00 90.00
Space group Aea2 (No. 41)
Symmetry-distinct sites (fractional):
Mo 0.0000 0.0000 0.0000 x4
Mo 0.2453 0.0438 0.7399 x8
O 0.0000 0.0000 0.2581 x4
O 0.0000 0.0000 0.6977 x4
O 0.0081 0.2141 0.9497 x8
O 0.1844 0.4923 0.5886 x8
O 0.1911 0.0259 0.8705 x8
O 0.2480 0.2572 0.2273 x8

7.
Computed powder X-ray diffraction pattern of Mo3O8 for Cu Ka, from a DFT-relaxed cell (GGA+U, Alexandria).

Peak list (6 most intense, 5 to 70 degrees two-theta, in order of falling intensity)
| (hkl) | two_theta | intensity |
| --- | --- | --- |
| 2 0 -1 | 17.69 | 100 |
| 1 1 0 | 17.58 | 34 |
| 2 2 -2 | 41.55 | 31 |
| 0 2 1 | 34.12 | 30 |
| 4 0 0 | 41.09 | 16 |
| 2 0 1 | 33.77 | 14 |

Crystal structure
Lattice parameters (Å, degrees): 10.6746 6.1472 6.1478 90.00 124.61 90.00
Space group C2/m (No. 12)
Symmetry-distinct sites (fractional):
Mo 0.0000 0.0000 0.0000 x2
Mo 0.2500 0.2500 0.5000 x4
O 0.0238 0.2195 0.2415 x8
O 0.2338 0.0000 0.2498 x4
O 0.2468 0.0000 0.6884 x4